(1)
Theoretical XRD peak list
Compound: Tm4Ge6Ir7
Radiation: copper Kα
Structure: the PBE geometry in the Materials Project
Peak positions follow from Bragg's law for the DFT cell and can differ from measured ones.

Principal peaks in the range 2θ from 5° to 70°, by angle:
d_spacing, I/Imax
3.412, 24
2.413, 100
2.234, 39
2.090, 70
1.782, 19
1.478, 40

Atomic structure:
```
data_Tm4Ge6Ir7
_cell_length_a 8.3586
_cell_length_b 8.3586
_cell_length_c 8.3586
_cell_angle_alpha 90.00
_cell_angle_beta 90.00
_cell_angle_gamma 90.00
_symmetry_space_group_name_H-M 'I m -3 m'
_symmetry_Int_Tables_number 229
_symmetry_space_group_name_Hall '-I 4 2 3'
loop_
_atom_site_label
_atom_site_fract_x
_atom_site_fract_y
_atom_site_fract_z
Tm1 0.2500 0.2500 0.2500
Ge1 0.0000 0.0000 0.3165
Ir1 0.0000 0.0000 0.0000
Ir2 0.0000 0.2500 0.5000
```



(2)
Theoretical XRD peak list
Compound: Tm5Ge10Ir4
Radiation: copper Kα
Structure: the PBE geometry in the Materials Project
Peak positions follow from Bragg's law for the DFT cell and can differ from measured ones.

Principal peaks in the range 2θ from 5° to 70°, by angle:
d_spacing, I/Imax
2.760, 27
2.590, 100
2.540, 39
2.493, 73
2.146, 55
2.028, 31

Atomic structure:
```
data_Tm5Ge10Ir4
_cell_length_a 12.9933
_cell_length_b 12.9933
_cell_length_c 4.2929
_cell_angle_alpha 90.00
_cell_angle_beta 90.00
_cell_angle_gamma 90.00
_symmetry_space_group_name_H-M 'P 4/m b m'
_symmetry_Int_Tables_number 127
_symmetry_space_group_name_Hall '-P 4 2ab'
loop_
_atom_site_label
_atom_site_fract_x
_atom_site_fract_y
_atom_site_fract_z
Tm1 0.0000 0.0000 0.0000
Tm2 0.1172 0.3828 0.5000
Tm3 0.1746 0.6746 0.5000
Ge1 0.0080 0.8461 0.5000
Ge2 0.0664 0.5664 0.0000
Ge3 0.1631 0.2003 0.0000
Ir1 0.0213 0.7530 0.0000
```



(3)
Theoretical XRD peak list
Compound: Tm3Ge13Ir4
Radiation: copper Kα
Structure: the PBE geometry in the Materials Project
Peak positions follow from Bragg's law for the DFT cell and can differ from measured ones.

Principal peaks in the range 2θ from 5° to 70°, by angle:
d_spacing, I/Imax
4.514, 42
2.606, 57
2.504, 100
2.413, 41
2.257, 54
1.843, 49

Atomic structure:
```
data_Tm3Ge13Ir4
_cell_length_a 9.0276
_cell_length_b 9.0276
_cell_length_c 9.0276
_cell_angle_alpha 90.00
_cell_angle_beta 90.00
_cell_angle_gamma 90.00
_symmetry_space_group_name_H-M 'P m -3 n'
_symmetry_Int_Tables_number 223
_symmetry_space_group_name_Hall '-P 4n 2 3'
loop_
_atom_site_label
_atom_site_fract_x
_atom_site_fract_y
_atom_site_fract_z
Tm1 0.0000 0.2500 0.5000
Ge1 0.0000 0.0000 0.0000
Ge2 0.0000 0.3097 0.1453
Ir1 0.2500 0.2500 0.2500
```



(4)
Theoretical XRD peak list
Compound: UGe2Ir
Radiation: copper Kα
Structure: the PBE geometry in the Materials Project
Peak positions follow from Bragg's law for the DFT cell and can differ from measured ones.

Principal peaks in the range 2θ from 5° to 70°, by angle:
d_spacing, I/Imax
2.675, 100
2.580, 45
2.284, 22
2.199, 19
2.171, 31
1.545, 16

Atomic structure:
```
data_UGe2Ir
_cell_length_a 4.3411
_cell_length_b 8.7962
_cell_length_c 16.0358
_cell_angle_alpha 90.00
_cell_angle_beta 90.00
_cell_angle_gamma 90.00
_symmetry_space_group_name_H-M 'I m m m'
_symmetry_Int_Tables_number 71
_symmetry_space_group_name_Hall '-I 2 2'
loop_
_atom_site_label
_atom_site_fract_x
_atom_site_fract_y
_atom_site_fract_z
U1 0.0000 0.0000 0.2046
U2 0.0000 0.2378 0.0000
Ge1 0.0000 0.0000 0.4248
Ge2 0.0000 0.3468 0.1992
Ge3 0.0000 0.5000 0.4246
Ir1 0.0000 0.2499 0.3536
```



(5)
Theoretical XRD peak list
Compound: YGe2Ir
Radiation: copper Kα
Structure: the PBE geometry in the Materials Project
Peak positions follow from Bragg's law for the DFT cell and can differ from measured ones.

Principal peaks in the range 2θ from 5° to 70°, by angle:
d_spacing, I/Imax
4.457, 30
2.682, 100
2.582, 48
2.305, 36
2.147, 43
1.857, 29

Atomic structure:
```
data_YGe2Ir
_cell_length_a 4.2949
_cell_length_b 8.9149
_cell_length_c 16.1539
_cell_angle_alpha 90.00
_cell_angle_beta 90.00
_cell_angle_gamma 90.00
_symmetry_space_group_name_H-M 'I m m m'
_symmetry_Int_Tables_number 71
_symmetry_space_group_name_Hall '-I 2 2'
loop_
_atom_site_label
_atom_site_fract_x
_atom_site_fract_y
_atom_site_fract_z
Y1 0.0000 0.0000 0.2054
Y2 0.0000 0.2387 0.0000
Ge1 0.0000 0.0000 0.4218
Ge2 0.0000 0.3471 0.2004
Ge3 0.0000 0.5000 0.4230
Ir1 0.0000 0.2494 0.3544
```



(6)
Theoretical XRD peak list
Compound: ZrGeIr
Radiation: copper Kα
Structure: the PBE geometry in the Materials Project
Peak positions follow from Bragg's law for the DFT cell and can differ from measured ones.

Principal peaks in the range 2θ from 5° to 70°, by angle:
d_spacing, I/Imax
2.571, 73
2.564, 100
2.436, 91
2.153, 91
2.121, 61
2.039, 70

Atomic structure:
```
data_ZrGeIr
_cell_length_a 6.6258
_cell_length_b 4.0785
_cell_length_c 7.6032
_cell_angle_alpha 90.00
_cell_angle_beta 90.00
_cell_angle_gamma 90.00
_symmetry_space_group_name_H-M 'P n m a'
_symmetry_Int_Tables_number 62
_symmetry_space_group_name_Hall '-P 2ac 2n'
loop_
_atom_site_label
_atom_site_fract_x
_atom_site_fract_y
_atom_site_fract_z
Zr1 0.0215 0.2500 0.1857
Ge1 0.2302 0.7500 0.3796
Ir1 0.1520 0.2500 0.5620
```



(7)
Theoretical XRD peak list
Compound: K3Ge17
Radiation: copper Kα
Structure: the PBE geometry in the Materials Project
Peak positions follow from Bragg's law for the DFT cell and can differ from measured ones.

Principal peaks in the range 2θ from 5° to 70°, by angle:
d_spacing, I/Imax
3.078, 73
2.828, 38
2.704, 66
1.954, 33
1.885, 100
1.847, 30

Atomic structure:
Lattice parameters (Å, degrees): 15.9963 15.9963 15.9963 90.00 90.00 90.00
Space group Fd-3m (No. 227, origin choice 2)
Unique sites:
K: 0.0000 0.0000 0.0000 (multiplicity 16)
K: 0.1250 0.1250 0.6250 (multiplicity 8)
Ge: 0.0303 0.0303 0.2197 (multiplicity 32)
Ge: 0.0675 0.0675 0.3726 (multiplicity 96)
Ge: 0.1250 0.1250 0.1250 (multiplicity 8)



(8)
Theoretical XRD peak list
Compound: K3Ge
Radiation: copper Kα
Structure: the PBE geometry in the Materials Project
Peak positions follow from Bragg's law for the DFT cell and can differ from measured ones.

Principal peaks in the range 2θ from 5° to 70°, by angle:
d_spacing, I/Imax
4.978, 6
3.048, 100
2.156, 18
1.760, 36
1.524, 11
1.363, 14

Atomic structure:
```
data_K3Ge
_cell_length_a 8.6220
_cell_length_b 8.6220
_cell_length_c 8.6220
_cell_angle_alpha 90.00
_cell_angle_beta 90.00
_cell_angle_gamma 90.00
_symmetry_space_group_name_H-M 'F m -3 m'
_symmetry_Int_Tables_number 225
_symmetry_space_group_name_Hall '-F 4 2 3'
loop_
_atom_site_label
_atom_site_fract_x
_atom_site_fract_y
_atom_site_fract_z
K1 0.0000 0.0000 0.0000
K2 0.2500 0.2500 0.2500
Ge1 0.0000 0.0000 0.5000
```



(9)
Theoretical XRD peak list
Compound: KLaGeS4
Radiation: copper Kα
Structure: the PBE geometry in the Materials Project
Peak positions follow from Bragg's law for the DFT cell and can differ from measured ones.

Principal peaks in the range 2θ from 5° to 70°, by angle:
d_spacing, I/Imax
8.319, 100
5.238, 44
3.371, 37
2.808, 46
2.753, 40
2.322, 34

Atomic structure:
```
data_KLaGeS4
_cell_length_a 6.7189
_cell_length_b 6.7422
_cell_length_c 8.7269
_cell_angle_alpha 90.00
_cell_angle_beta 107.58
_cell_angle_gamma 90.00
_symmetry_space_group_name_H-M 'P 1 21 1'
_symmetry_Int_Tables_number 4
_symmetry_space_group_name_Hall 'P 2yb'
loop_
_atom_site_label
_atom_site_fract_x
_atom_site_fract_y
_atom_site_fract_z
K1 0.2285 0.0000 0.4344
La1 0.2676 0.0150 0.9457
Ge1 0.2834 0.4890 0.1873
S1 0.0856 0.4863 0.3479
S2 0.0910 0.4500 0.9293
S3 0.4802 0.7449 0.7676
S4 0.4861 0.7581 0.2203
```



(10)
Theoretical XRD peak list
Compound: KLi3GeO4
Radiation: copper Kα
Structure: the PBE geometry in the Materials Project
Peak positions follow from Bragg's law for the DFT cell and can differ from measured ones.

Principal peaks in the range 2θ from 5° to 70°, by angle:
d_spacing, I/Imax
4.871, 62
4.218, 100
3.948, 58
2.558, 53
2.442, 86
2.438, 86

Atomic structure:
```
data_KLi3GeO4
_cell_length_a 5.9298
_cell_length_b 7.5779
_cell_length_c 10.0512
_cell_angle_alpha 83.60
_cell_angle_beta 76.54
_cell_angle_gamma 79.76
_symmetry_space_group_name_H-M 'P -1'
_symmetry_Int_Tables_number 2
_symmetry_space_group_name_Hall '-P 1'
loop_
_atom_site_label
_atom_site_fract_x
_atom_site_fract_y
_atom_site_fract_z
K1 0.0039 0.3829 0.3832
K2 0.0418 0.1401 0.1278
Li1 0.1868 0.4495 0.8966
Li2 0.1931 0.9432 0.3956
Li3 0.1948 0.1755 0.6461
Li4 0.4293 0.0477 0.8761
Li5 0.4635 0.5729 0.3722
Li6 0.4778 0.3233 0.1132
Ge1 0.1661 0.7065 0.1482
Ge2 0.4413 0.7905 0.6345
O1 0.1382 0.2044 0.8498
O2 0.1786 0.7112 0.3238
O3 0.1898 0.9338 0.5934
O4 0.1938 0.4874 0.0900
O5 0.3460 0.6100 0.7565
O6 0.3629 0.8377 0.0353
O7 0.3824 0.3259 0.5083
O8 0.3955 0.1046 0.2775
```